Ac4GePd: simulated powder diffractogram (Cu Kα, 1.54184 Å), based on DFT lattice parameters and positions (PBE).
Lines closer than 0.1° are merged.

Cell and atoms:
```
Ac4GePd
1.0
3.767 -3.767 0.000
3.767 3.767 0.000
-0.018 0.000 7.680
Ac Ge Pd
4 1 1
direct
0.000 0.499 0.247
0.000 0.501 0.753
0.499 0.000 0.247
0.501 0.000 0.753
0.000 0.000 0.500
0.500 0.500 0.000
```

Peak list (10 most intense, 15 to 90 degrees two-theta, sorted by position)
2θ/deg, intensity
20.3, 11
23.2, 26
23.6, 50
33.3, 100
33.6, 49
41.2, 24
48.3, 18
54.5, 11
59.3, 10
59.9, 29